(1)
For K3ErF6, a cell relaxed with PBE gives the computed powder diffractogram in this record (λ = 1.5418 Å (Cu Kα)).
Intensities are scaled so that the largest is 1000.

Main lines, low angle first (2θ from 5° to 70°):
| d_spacing | two_theta | I/Imax |
| --- | --- | --- |
| 5.338 | 16.61 | 873 |
| 5.218 | 16.99 | 767 |
| 4.571 | 19.42 | 1000 |
| 3.292 | 27.09 | 395 |
| 3.237 | 27.56 | 817 |
| 3.223 | 27.68 | 796 |
| 3.183 | 28.03 | 347 |
| 2.737 | 32.71 | 382 |
| 2.288 | 39.38 | 490 |
| 1.850 | 49.26 | 386 |

Cell and atoms:
Cell: 6.366 6.584 11.088 Å, 90.00 124.68 90.00°
Space group P2_1/c (No. 14)
Symmetry-distinct sites (fractional):
K: 0.000 0.000 0.000 [2 per cell]
K: 0.234 0.050 0.747 [4 per cell]
Er: 0.500 0.000 0.500 [2 per cell]
F: 0.174 0.175 0.452 [4 per cell]
F: 0.267 0.728 0.435 [4 per cell]
F: 0.384 0.051 0.277 [4 per cell]

***

(2)
For K3ErF6, a cell relaxed with PBE gives the computed powder diffractogram in this record (λ = 1.5418 Å (Cu Kα)).
Intensities are scaled so that the largest is 1000.

Main lines, low angle first (2θ from 5° to 70°):
| d_spacing | two_theta | I/Imax |
| --- | --- | --- |
| 5.586 | 15.87 | 1000 |
| 4.989 | 17.78 | 300 |
| 4.571 | 19.42 | 183 |
| 3.528 | 25.25 | 846 |
| 3.370 | 26.45 | 626 |
| 2.796 | 32.01 | 223 |
| 2.494 | 36.00 | 201 |
| 2.278 | 39.57 | 177 |
| 2.005 | 45.22 | 421 |
| 1.918 | 47.39 | 275 |

Cell and atoms:
Cell: 7.055 7.055 9.142 Å, 90.00 90.00 90.00°
Space group I4/mmm (No. 139)
Symmetry-distinct sites (fractional):
K: 0.000 0.000 0.000 [2 per cell]
K: 0.000 0.500 0.250 [4 per cell]
Er: 0.000 0.000 0.500 [2 per cell]
F: 0.000 0.000 0.263 [4 per cell]
F: 0.000 0.306 0.500 [8 per cell]

***

(3)
For LiErF2, a cell relaxed with PBE gives the computed powder diffractogram in this record (λ = 1.5418 Å (Cu Kα)).
Intensities are scaled so that the largest is 1000.

Main lines, low angle first (2θ from 5° to 70°):
| d_spacing | two_theta | I/Imax |
| --- | --- | --- |
| 5.743 | 15.43 | 1000 |
| 3.551 | 25.08 | 144 |
| 3.195 | 27.93 | 206 |
| 2.872 | 31.15 | 470 |
| 2.805 | 31.90 | 320 |
| 2.375 | 37.88 | 124 |
| 2.273 | 39.65 | 258 |
| 1.910 | 47.61 | 131 |
| 1.852 | 49.20 | 177 |
| 1.775 | 51.47 | 223 |

Cell and atoms:
Cell: 6.429 6.429 12.778 Å, 90.00 90.00 90.00°
Space group I4_1/amd (No. 141, origin choice 2)
Symmetry-distinct sites (fractional):
Li: 0.000 0.000 0.000 [8 per cell]
Er: 0.000 0.000 0.500 [8 per cell]
F: 0.000 0.014 0.317 [16 per cell]

***

(4)
For Er3NF10, a cell relaxed with PBE gives the computed powder diffractogram in this record (λ = 1.5418 Å (Cu Kα)).
Intensities are scaled so that the largest is 1000.

Main lines, low angle first (2θ from 5° to 70°):
| d_spacing | two_theta | I/Imax |
| --- | --- | --- |
| 6.230 | 14.22 | 319 |
| 4.848 | 18.30 | 319 |
| 4.065 | 21.87 | 249 |
| 3.404 | 26.18 | 446 |
| 3.343 | 26.67 | 383 |
| 3.115 | 28.66 | 1000 |
| 2.032 | 44.58 | 357 |
| 1.883 | 48.34 | 323 |
| 1.737 | 52.71 | 412 |
| 1.702 | 53.86 | 200 |

Cell and atoms:
Cell: 8.136 14.070 13.372 Å, 90.00 90.00 90.00°
Space group Cmc2_1 (No. 36)
Symmetry-distinct sites (fractional):
Er: 0.000 0.005 0.000 [4 per cell]
Er: 0.000 0.325 0.240 [4 per cell]
Er: 0.237 0.086 0.239 [8 per cell]
Er: 0.240 0.245 0.999 [8 per cell]
N: 0.000 0.169 0.741 [4 per cell]
N: 0.000 0.494 0.020 [4 per cell]
F: 0.000 0.018 0.174 [4 per cell]
F: 0.000 0.165 0.288 [4 per cell]
F: 0.000 0.166 0.957 [4 per cell]
F: 0.000 0.279 0.533 [4 per cell]
F: 0.000 0.319 0.062 [4 per cell]
F: 0.000 0.392 0.707 [4 per cell]
F: 0.159 0.002 0.369 [8 per cell]
F: 0.162 0.444 0.207 [8 per cell]
F: 0.163 0.328 0.369 [8 per cell]
F: 0.166 0.113 0.533 [8 per cell]
F: 0.173 0.334 0.869 [8 per cell]
F: 0.217 0.239 0.173 [8 per cell]
F: 0.222 0.091 0.064 [8 per cell]

***

(5)
For NaErF4, a cell relaxed with PBE gives the computed powder diffractogram in this record (λ = 1.5418 Å (Cu Kα)).
Intensities are scaled so that the largest is 1000.

Main lines, low angle first (2θ from 5° to 70°):
| d_spacing | two_theta | I/Imax |
| --- | --- | --- |
| 5.478 | 16.18 | 615 |
| 3.788 | 23.48 | 446 |
| 3.116 | 28.65 | 1000 |
| 2.406 | 37.37 | 235 |
| 2.220 | 40.65 | 216 |
| 1.915 | 47.47 | 469 |
| 1.894 | 48.03 | 230 |
| 1.790 | 51.02 | 129 |
| 1.645 | 55.90 | 153 |
| 1.619 | 56.89 | 290 |

Cell and atoms:
Cell: 3.788 3.788 5.478 Å, 90.00 90.00 90.00°
Space group P4/mmm (No. 123)
Symmetry-distinct sites (fractional):
Na: 0.000 0.000 0.000 [1 per cell]
Er: 0.500 0.500 0.500 [1 per cell]
F: 0.000 0.500 0.270 [4 per cell]

***

(6)
For NaErF4, a cell relaxed with PBE gives the computed powder diffractogram in this record (λ = 1.5418 Å (Cu Kα)).
Intensities are scaled so that the largest is 1000.

Main lines, low angle first (2θ from 5° to 70°):
| d_spacing | two_theta | I/Imax |
| --- | --- | --- |
| 4.858 | 18.26 | 895 |
| 3.127 | 28.55 | 1000 |
| 2.982 | 29.97 | 214 |
| 2.727 | 32.84 | 118 |
| 2.378 | 37.83 | 233 |
| 2.012 | 45.05 | 177 |
| 1.928 | 47.13 | 237 |
| 1.908 | 47.66 | 462 |
| 1.641 | 56.03 | 301 |
| 1.617 | 56.97 | 143 |

Cell and atoms:
Cell: 5.455 5.455 10.683 Å, 90.00 90.00 90.00°
Space group I4_1/amd (No. 141, origin choice 2)
Symmetry-distinct sites (fractional):
Na: 0.000 0.250 0.375 [4 per cell]
Er: 0.000 0.250 0.875 [4 per cell]
F: 0.228 0.000 0.000 [16 per cell]